Structure and simulated XRD peak list of Fe5NiP6O24 (a DFT-relaxed cell (PBE+U, Alexandria); a wavelength of 1.5418 Å).
Lines closer than 0.1° are merged.

Peak list (6 most intense, 2θ from 10° to 90°, in order of rising 2θ)
(1 1 0), 2θ = 20.6°, I = 91.8; (1 1 3), 2θ = 24.4°, I = 100.0; (1 1 6), 2θ = 33.4°, I = 73.2; (3 0 0), 2θ = 36.1°, I = 42.6; (1 2 8), 2θ = 47.9°, I = 32.6; (4 -2 6), 2θ = 50.0°, I = 28.5

Cell and atoms:
a = 8.6253 Å, b = 8.6253 Å, c = 20.5301 Å
α = 90.00°, β = 90.00°, γ = 120.00°
Space group R3 (No. 146, hexagonal axes)
Asymmetric unit:
Fe (0.0000, 0.0000, 0.0000) (multiplicity 3)
Fe (0.0000, 0.0000, 0.1440) (multiplicity 3)
Fe (0.0000, 0.0000, 0.3556) (multiplicity 3)
Fe (0.0000, 0.0000, 0.5009) (multiplicity 3)
Fe (0.0000, 0.0000, 0.6464) (multiplicity 3)
Ni (0.0000, 0.0000, 0.8589) (multiplicity 3)
P (0.0008, 0.2967, 0.7515) (multiplicity 9)
P (0.0364, 0.6675, 0.9173) (multiplicity 9)
O (0.0035, 0.8263, 0.9281) (multiplicity 9)
O (0.0126, 0.8095, 0.3116) (multiplicity 9)
O (0.0213, 0.1823, 0.4295) (multiplicity 9)
O (0.0259, 0.2131, 0.8130) (multiplicity 9)
O (0.1426, 0.4636, 0.3570) (multiplicity 9)
O (0.1470, 0.6869, 0.8563) (multiplicity 9)
O (0.1608, 0.4905, 0.7408) (multiplicity 9)
O (0.1731, 0.6890, 0.2386) (multiplicity 9)